Entry 1:
Ta2Bi2O9: simulated powder XRD pattern (a wavelength of 1.5418 Å), based on a structure optimized by DFT (GGA-PBE).
Kinematic intensities with the Lorentz-polarization factor, no thermal factor.

Main lines, by intensity (5 to 70 degrees two-theta):
Position (°2θ)	Rel. int.
28.0	100
29.5	84
22.7	60
25.5	50
32.3	46
28.3	43
46.1	41
7.0	38
53.8	35
32.1	32
24.5	27
43.4	27

Atomic structure:
```
Ta2Bi2O9
1.0
2.7972 -2.7749 0.0000
2.7972 2.7749 0.0000
-1.8166 0.0000 12.6134
Ta Bi O
2 2 9
Direct
0.0699 0.0699 0.1552
0.9301 0.9301 0.8448
0.2453 0.2453 0.6026
0.7547 0.7547 0.3974
0.0000 0.0000 0.0000
0.0616 0.5640 0.1631
0.0994 0.0994 0.3161
0.2501 0.7499 0.5000
0.4360 0.9384 0.8369
0.5640 0.0616 0.1631
0.7499 0.2501 0.5000
0.9006 0.9006 0.6839
0.9384 0.4360 0.8369
```

Entry 2:
KBe2Au: simulated powder XRD pattern (a wavelength of 1.5418 Å), based on a structure optimized by DFT (GGA-PBE).
Kinematic intensities with the Lorentz-polarization factor, no thermal factor.

Main lines, by intensity (5 to 70 degrees two-theta):
Position (°2θ)	Rel. int.
14.6	100
25.8	84
25.4	44
35.3	43
29.4	42
44.2	28
27.2	24
26.9	24
27.1	24
35.6	21
44.8	20
32.1	19

Atomic structure:
```
KBe2Au
1.0
4.0415 0.0000 0.0000
2.0177 3.5670 0.0000
1.9651 1.1539 6.0667
K Be Au
1 2 1
Direct
0.0000 0.0000 0.0000
0.5110 0.5078 0.4817
0.8446 0.8215 0.5013
0.1845 0.1715 0.4708
```

Entry 3:
SrIn6Ni6: simulated powder XRD pattern (a wavelength of 1.5418 Å), based on a structure optimized by DFT (GGA-PBE).
Kinematic intensities with the Lorentz-polarization factor, no thermal factor.

Main lines, by intensity (5 to 70 degrees two-theta):
Position (°2θ)	Rel. int.
33.3	100
43.8	96
38.9	96
33.5	51
39.3	50
39.1	50
39.8	50
44.5	48
43.6	42
38.8	35
69.9	33
34.1	27

Atomic structure:
```
SrIn6Ni6
1.0
-2.6746 4.5284 4.6679
2.6746 -4.5284 4.6679
2.6746 4.5284 -4.6679
Sr In Ni
1 6 6
Direct
0.0000 0.0000 0.0000
0.1817 0.6817 0.5000
0.3332 0.0000 0.3332
0.3432 0.3432 0.0000
0.6568 0.6568 0.0000
0.6668 0.0000 0.6668
0.8183 0.3183 0.5000
0.0000 0.0000 0.5000
0.0000 0.5000 0.0000
0.2403 0.5000 0.7403
0.5000 0.0000 0.0000
0.5000 0.5000 0.5000
0.7597 0.5000 0.2597
```

Entry 4:
Nb3GaGe: simulated powder XRD pattern (a wavelength of 1.5418 Å), based on a structure optimized by DFT (GGA-PBE).
Kinematic intensities with the Lorentz-polarization factor, no thermal factor.

Main lines, by intensity (5 to 70 degrees two-theta):
Position (°2θ)	Rel. int.
35.9	100
37.3	81
39.5	53
39.5	49
42.4	46
40.1	41
35.6	40
40.0	39
43.0	38
44.9	33
30.5	27
43.1	25

Atomic structure:
```
Nb3GaGe
1.0
4.9228 -6.0521 0.0000
4.9228 6.0521 0.0000
-2.5473 0.0000 5.8636
Nb Ga Ge
12 4 4
Direct
0.0315 0.3268 0.5334
0.0671 0.6859 0.9885
0.3133 0.3864 0.9739
0.3141 0.9329 0.5115
0.3268 0.0315 0.0334
0.3864 0.3133 0.4739
0.6136 0.6867 0.5261
0.6732 0.9685 0.9666
0.6859 0.0671 0.4885
0.6867 0.6136 0.0261
0.9329 0.3141 0.0115
0.9685 0.6732 0.4666
0.0089 0.9911 0.2500
0.3374 0.6626 0.7500
0.6626 0.3374 0.2500
0.9911 0.0089 0.7500
0.2243 0.5520 0.3256
0.4480 0.7757 0.1744
0.5520 0.2243 0.8256
0.7757 0.4480 0.6744
```

Entry 5:
Ba3ErSn8: simulated powder XRD pattern (a wavelength of 1.5418 Å), based on a structure optimized by DFT (GGA-PBE).
Kinematic intensities with the Lorentz-polarization factor, no thermal factor.

Main lines, by intensity (5 to 70 degrees two-theta):
Position (°2θ)	Rel. int.
34.3	100
26.2	72
21.7	53
33.5	34
22.4	30
55.8	25
37.5	25
12.6	25
51.6	21
39.9	21
47.2	19
34.7	16

Atomic structure:
```
Ba3ErSn8
1.0
-4.8149 4.8149 5.1189
4.8149 -4.8149 5.1189
4.8149 4.8149 -5.1189
Ba Er Sn
3 1 8
Direct
0.0000 0.0000 0.0000
0.2500 0.7500 0.5000
0.7500 0.2500 0.5000
0.5000 0.5000 0.0000
0.1353 0.1353 0.6935
0.2003 0.6344 0.0000
0.3656 0.3656 0.5660
0.4417 0.4417 0.3065
0.5583 0.8647 0.0000
0.6344 0.2003 0.0000
0.7997 0.7997 0.4340
0.8647 0.5583 0.0000
```

Entry 6:
ErTmSi4: simulated powder XRD pattern (a wavelength of 1.5418 Å), based on a structure optimized by DFT (GGA-PBE).
Kinematic intensities with the Lorentz-polarization factor, no thermal factor.

Main lines, by intensity (5 to 70 degrees two-theta):
Position (°2θ)	Rel. int.
35.7	100
21.2	80
37.9	61
34.2	56
30.1	44
28.3	38
43.2	34
30.9	32
16.6	31
58.3	30
31.1	27
26.5	27

Atomic structure:
```
ErTmSi4
1.0
8.8446 0.0000 0.0000
0.0000 13.4621 0.0000
0.0000 0.0000 4.1885
Er Tm Si
4 4 16
Direct
0.0394 0.1312 0.0000
0.4606 0.6312 0.0000
0.5394 0.3688 0.0000
0.9606 0.8688 0.0000
0.1459 0.4155 0.0000
0.3541 0.9155 0.0000
0.6459 0.0845 0.0000
0.8541 0.5845 0.0000
0.0431 0.2826 0.5000
0.0960 0.5643 0.5000
0.1417 0.9939 0.5000
0.1850 0.8172 0.5000
0.3150 0.3172 0.5000
0.3583 0.4939 0.5000
0.4040 0.0643 0.5000
0.4569 0.7826 0.5000
0.5431 0.2174 0.5000
0.5960 0.9357 0.5000
0.6417 0.5061 0.5000
0.6850 0.6828 0.5000
0.8150 0.1828 0.5000
0.8583 0.0061 0.5000
0.9040 0.4357 0.5000
0.9569 0.7174 0.5000
```

Entry 7:
TlReCl6: simulated powder XRD pattern (a wavelength of 1.5418 Å), based on a structure optimized by DFT (GGA-PBE).
Kinematic intensities with the Lorentz-polarization factor, no thermal factor.

Main lines, by intensity (5 to 70 degrees two-theta):
Position (°2θ)	Rel. int.
15.8	100
23.0	61
13.4	48
27.0	33
21.3	28
31.1	20
27.4	19
50.4	19
42.6	19
42.7	18
36.1	17
34.9	16

Atomic structure:
```
TlReCl6
1.0
5.5914 -4.0919 0.0000
5.5914 4.0919 0.0000
-0.0443 0.0000 10.7335
Tl Re Cl
2 2 12
Direct
0.0179 0.9821 0.7500
0.9821 0.0179 0.2500
0.0000 0.5000 0.0000
0.5000 0.0000 0.5000
0.1311 0.5392 0.1955
0.1572 0.1933 0.4991
0.1933 0.1572 0.9991
0.2637 0.5857 0.9050
0.4143 0.7363 0.5950
0.4608 0.8689 0.3045
0.5392 0.1311 0.6955
0.5857 0.2637 0.4050
0.7363 0.4143 0.0950
0.8067 0.8428 0.0009
0.8428 0.8067 0.5009
0.8689 0.4608 0.8045
```

Entry 8:
Tb12CeSc7: simulated powder XRD pattern (a wavelength of 1.5418 Å), based on a structure optimized by DFT (GGA-PBE).
Kinematic intensities with the Lorentz-polarization factor, no thermal factor.

Main lines, by intensity (5 to 70 degrees two-theta):
Position (°2θ)	Rel. int.
31.9	100
36.0	37
31.1	32
26.8	20
26.4	18
31.5	17
52.3	16
56.9	12
28.6	12
53.9	10
43.4	10
33.8	9

Atomic structure:
```
Tb12CeSc7
1.0
7.4171 4.2823 3.1239
-7.4171 4.2823 3.1239
0.0000 -8.5645 3.1239
Tb Ce Sc
12 1 7
Direct
0.0367 0.1394 0.6999
0.1394 0.6999 0.0367
0.1526 0.6309 0.4263
0.3001 0.9633 0.8606
0.3691 0.5737 0.8474
0.4263 0.1526 0.6309
0.5737 0.8474 0.3691
0.6309 0.4263 0.1526
0.6999 0.0367 0.1394
0.8474 0.3691 0.5737
0.8606 0.3001 0.9633
0.9633 0.8606 0.3001
0.0000 0.0000 0.0000
0.1335 0.2682 0.4110
0.2682 0.4110 0.1335
0.4110 0.1335 0.2682
0.5000 0.5000 0.5000
0.5890 0.8665 0.7318
0.7318 0.5890 0.8665
0.8665 0.7318 0.5890
```